1.
Calculated X-ray powder pattern
Compound: FeO
Radiation: copper Kα
Structure: DFT lattice parameters and positions (PBE+U)
No peak broadening, texture or thermal motion is included.

```
4
Lattice="3.102 0.000 0.000 1.499 2.721 0.000 1.504 0.834 5.033" Properties=species:S:1:pos:R:3 pbc="T T T"
Fe 0.000 0.000 0.000
Fe 3.053 1.777 2.517
O 1.429 0.842 1.267
O 4.677 2.713 3.767
```

Principal peaks in the range 2θ from 10° to 90°, in order of falling intensity:
| hkl | 2theta | I/Imax |
| --- | --- | --- |
| 1 0 3 | 59.59 | 100 |
| 0 1 -1 | 40.58 | 92 |
| 1 0 -1 | 40.96 | 89 |
| 1 1 2 | 41.65 | 84 |
| 1 0 1 | 35.08 | 45 |
| 1 1 0 | 35.49 | 45 |
| 0 1 1 | 35.22 | 45 |
| 0 0 2 | 35.68 | 43 |

---

2.
Calculated X-ray powder pattern
Compound: Fe5P3O13
Radiation: copper Kα
Structure: DFT lattice parameters and positions (PBE+U)
No peak broadening, texture or thermal motion is included.

```
42
Lattice="6.236 0.000 0.000 -0.004 8.534 0.000 -0.103 -0.822 9.604" Properties=species:S:1:pos:R:3 pbc="T T T"
Fe 0.007 3.007 2.182
Fe 1.524 0.607 1.155
Fe 1.500 1.771 5.374
Fe 1.483 2.117 8.626
Fe 2.988 3.011 2.217
Fe 3.140 4.701 7.387
Fe 4.646 5.595 0.977
Fe 4.629 5.942 4.229
Fe 4.605 7.106 8.449
Fe 6.122 4.706 7.421
P 1.494 4.797 4.612
P 1.535 5.703 0.835
P 1.511 7.668 7.331
P 4.618 0.044 2.272
P 4.594 2.010 8.769
P 4.635 2.915 4.992
O 0.260 5.056 1.472
O 0.223 6.770 7.401
O 0.273 5.677 4.370
O 1.470 3.520 3.666
O 1.504 2.597 0.923
O 1.510 7.201 1.052
O 1.476 4.214 6.092
O 1.475 4.504 8.913
O 1.538 -0.038 6.053
O 1.514 0.062 8.591
O 2.801 5.065 1.507
O 2.770 5.592 4.417
O 2.788 6.753 7.419
O 3.341 0.960 2.184
O 3.358 2.121 5.187
O 3.328 2.648 8.097
O 4.615 7.650 1.012
O 4.591 7.751 3.550
O 4.653 3.209 0.691
O 4.653 3.499 3.512
O 4.619 0.512 8.551
O 4.625 5.116 8.680
O 4.659 4.192 5.937
O 5.856 2.036 5.233
O 5.906 0.942 2.203
O 5.868 2.657 8.131
```

Principal peaks in the range 2θ from 10° to 90°, in order of falling intensity:
| hkl | 2theta | I/Imax |
| --- | --- | --- |
| 0 1 0 | 10.40 | 100 |
| 0 1 3 | 30.67 | 53 |
| 0 3 -1 | 32.14 | 50 |
| 0 0 3 | 27.87 | 46 |
| 0 3 0 | 31.57 | 43 |
| 0 1 -3 | 28.95 | 39 |
| 0 1 -1 | 13.31 | 33 |
| 0 2 2 | 29.22 | 33 |

---

3.
Calculated X-ray powder pattern
Compound: Fe3P2O8
Radiation: copper Kα
Structure: DFT lattice parameters and positions (PBE+U)
No peak broadening, texture or thermal motion is included.

```
52
Lattice="9.008 0.000 0.000 0.000 11.347 0.000 -1.068 0.000 6.175" Properties=species:S:1:pos:R:3 pbc="T T T"
Fe 0.539 1.322 0.765
Fe 0.005 4.351 3.853
Fe 1.764 0.936 4.107
Fe 2.297 4.738 1.019
Fe 2.612 7.875 3.815
Fe 3.146 9.146 0.727
Fe 4.794 2.201 5.448
Fe 5.328 3.473 2.360
Fe 5.643 6.610 5.156
Fe 6.176 10.412 2.069
Fe 7.935 6.996 2.322
Fe 7.401 10.025 5.410
P -0.093 7.207 5.487
P 0.441 9.814 2.400
P 3.367 0.989 1.189
P 2.833 4.685 4.276
P 5.107 6.663 1.899
P 4.573 10.358 4.986
P 7.499 1.533 3.775
P 8.033 4.140 0.688
O -0.168 2.340 3.759
O 0.365 3.334 0.671
O -0.055 6.383 4.156
O 0.479 10.638 1.068
O 1.094 6.368 0.582
O 0.560 10.654 3.670
O 1.122 8.188 5.384
O 1.656 8.833 2.297
O 1.434 0.992 6.061
O 1.968 4.681 2.974
O 2.326 1.408 2.266
O 1.793 4.266 5.354
O 3.425 6.103 4.541
O 3.959 10.919 1.453
O 3.979 7.706 2.015
O 3.445 9.315 5.102
O 4.495 2.032 1.073
O 3.961 3.641 4.160
O 3.981 0.429 4.722
O 4.515 5.245 1.634
O 6.148 7.081 0.821
O 5.614 9.940 3.909
O 5.972 6.666 3.202
O 6.506 10.355 0.114
O 6.284 2.514 3.878
O 6.818 3.160 0.791
O 7.380 0.694 2.505
O 6.846 4.980 5.593
O 7.461 0.709 5.107
O 7.995 4.964 2.019
O 7.575 8.014 5.504
O 8.108 9.007 2.416
```

Principal peaks in the range 2θ from 10° to 90°, in order of falling intensity:
| hkl | 2theta | I/Imax |
| --- | --- | --- |
| 2 2 1 | 31.05 | 100 |
| 1 3 0 | 25.60 | 94 |
| 3 1 -1 | 32.23 | 63 |
| 1 0 -2 | 28.95 | 51 |
| 1 1 -2 | 30.02 | 47 |
| 1 3 1 | 30.31 | 28 |
| 0 4 0 | 31.54 | 24 |
| 5 1 0 | 52.11 | 23 |

---

4.
Calculated X-ray powder pattern
Compound: Fe2P2O7
Radiation: copper Kα
Structure: DFT lattice parameters and positions (PBE+U)
No peak broadening, texture or thermal motion is included.

```
11
Lattice="4.577 0.000 0.000 -0.849 5.231 0.000 -0.842 -1.467 5.364" Properties=species:S:1:pos:R:3 pbc="T T T"
Fe -0.314 0.483 1.600
Fe 3.199 3.281 3.764
P 1.088 3.418 1.134
P 1.798 0.346 4.230
O 0.209 4.463 0.426
O 0.258 2.404 1.926
O 0.686 -0.297 3.384
O 1.864 2.615 0.000
O 2.200 4.061 1.980
O 2.627 1.360 3.438
O 2.677 -0.699 4.938
```

Principal peaks in the range 2θ from 10° to 90°, in order of falling intensity:
| hkl | 2theta | I/Imax |
| --- | --- | --- |
| -1 1 1 | 29.62 | 100 |
| 1 1 -1 | 29.25 | 72 |
| 1 -1 1 | 28.75 | 62 |
| 0 0 2 | 33.43 | 44 |
| 1 0 1 | 28.52 | 38 |
| 1 1 0 | 29.40 | 28 |
| -1 2 1 | 43.27 | 28 |
| 1 2 -1 | 42.74 | 21 |

---

5.
Calculated X-ray powder pattern
Compound: FeP2O7
Radiation: copper Kα
Structure: DFT lattice parameters and positions (PBE+U)
No peak broadening, texture or thermal motion is included.

```
40
Lattice="8.746 0.000 0.000 0.000 5.153 0.000 -5.900 0.000 12.345" Properties=species:S:1:pos:R:3 pbc="T T T"
Fe -0.764 1.266 5.861
Fe -3.714 1.310 12.033
Fe 6.559 3.842 0.312
Fe 3.609 3.887 6.484
P 0.930 3.845 1.466
P -2.020 3.884 7.638
P 0.785 3.836 4.480
P -2.165 3.893 10.653
P 5.011 1.260 1.692
P 2.061 1.316 7.865
P 4.866 1.268 4.706
P 1.916 1.308 10.879
O -3.500 3.518 7.560
O -0.550 4.211 1.387
O -1.778 0.179 7.210
O 1.172 2.397 1.037
O -3.296 2.890 10.856
O -0.347 4.839 4.683
O -1.092 2.924 6.912
O 1.858 4.805 0.740
O -2.605 0.195 10.773
O 0.345 2.381 4.601
O -1.568 3.737 9.174
O 1.382 3.992 3.002
O 0.894 0.952 6.947
O 3.844 1.625 0.775
O -0.999 3.528 11.570
O 1.951 4.201 5.398
O 1.464 1.161 9.343
O 4.414 1.416 3.171
O 2.501 2.772 7.744
O 5.450 4.957 1.572
O 0.987 0.348 11.605
O 3.937 2.229 5.433
O 3.192 0.313 7.661
O 6.142 2.263 1.489
O 1.674 2.756 11.307
O 4.624 4.973 5.135
O 3.395 0.942 10.958
O 6.345 1.635 4.785
```

Principal peaks in the range 2θ from 10° to 90°, in order of falling intensity:
| hkl | 2theta | I/Imax |
| --- | --- | --- |
| 1 1 -2 | 22.18 | 100 |
| 2 0 0 | 22.53 | 60 |
| 0 0 2 | 14.35 | 50 |
| 1 1 -4 | 31.41 | 31 |
| 2 0 2 | 31.75 | 14 |
| 3 1 -2 | 35.38 | 11 |
| 0 2 0 | 34.82 | 11 |
| 2 0 -6 | 39.72 | 11 |

---

6.
Calculated X-ray powder pattern
Compound: FeP2O7
Radiation: copper Kα
Structure: DFT lattice parameters and positions (PBE+U)
No peak broadening, texture or thermal motion is included.

```
40
Lattice="7.413 0.000 0.000 0.000 8.161 0.000 -3.392 0.000 9.006" Properties=species:S:1:pos:R:3 pbc="T T T"
Fe 0.867 0.061 2.251
Fe -0.829 4.019 6.754
Fe 4.850 4.142 2.252
Fe 3.154 8.100 6.755
P -0.195 5.742 4.033
P -1.891 6.500 8.536
P 1.303 1.957 4.975
P 2.999 2.124 0.472
P 1.022 6.038 8.534
P 2.718 6.204 4.031
P 5.912 1.661 0.470
P 4.216 2.419 4.973
O -0.859 4.748 3.090
O -2.555 7.494 7.593
O -1.961 5.053 8.063
O -0.265 7.189 3.560
O -0.725 5.595 5.462
O 0.971 6.647 0.959
O 1.909 1.190 0.963
O 0.213 2.890 5.466
O 1.003 1.580 3.528
O -0.693 2.501 8.031
O 1.367 5.317 4.037
O -0.328 6.925 8.540
O 0.812 4.826 7.624
O 2.508 7.415 3.121
O 1.513 0.746 5.885
O 3.209 3.335 1.382
O 4.350 1.236 0.466
O 2.654 2.844 4.969
O 4.714 5.660 0.975
O 3.018 6.582 5.478
O 3.808 5.271 3.540
O 2.112 6.971 8.043
O 3.050 1.514 8.047
O 4.746 2.566 3.544
O 4.286 0.972 5.446
O 5.982 3.108 0.943
O 6.576 0.667 1.413
O 4.880 3.413 5.916
```

Principal peaks in the range 2θ from 10° to 90°, in order of falling intensity:
| hkl | 2theta | I/Imax |
| --- | --- | --- |
| 1 1 -1 | 17.02 | 100 |
| 0 2 2 | 29.54 | 56 |
| 1 1 1 | 21.66 | 32 |
| 2 1 0 | 27.95 | 30 |
| 0 1 2 | 22.55 | 26 |
| 1 1 -3 | 30.03 | 18 |
| 2 1 -2 | 28.55 | 16 |
| 1 0 -2 | 19.35 | 13 |

---

Please write out number 2 again, unchanged.
Calculated X-ray powder pattern
Compound: Fe5P3O13
Radiation: copper Kα
Structure: DFT lattice parameters and positions (PBE+U)
No peak broadening, texture or thermal motion is included.

```
42
Lattice="6.236 0.000 0.000 -0.004 8.534 0.000 -0.103 -0.822 9.604" Properties=species:S:1:pos:R:3 pbc="T T T"
Fe 0.007 3.007 2.182
Fe 1.524 0.607 1.155
Fe 1.500 1.771 5.374
Fe 1.483 2.117 8.626
Fe 2.988 3.011 2.217
Fe 3.140 4.701 7.387
Fe 4.646 5.595 0.977
Fe 4.629 5.942 4.229
Fe 4.605 7.106 8.449
Fe 6.122 4.706 7.421
P 1.494 4.797 4.612
P 1.535 5.703 0.835
P 1.511 7.668 7.331
P 4.618 0.044 2.272
P 4.594 2.010 8.769
P 4.635 2.915 4.992
O 0.260 5.056 1.472
O 0.223 6.770 7.401
O 0.273 5.677 4.370
O 1.470 3.520 3.666
O 1.504 2.597 0.923
O 1.510 7.201 1.052
O 1.476 4.214 6.092
O 1.475 4.504 8.913
O 1.538 -0.038 6.053
O 1.514 0.062 8.591
O 2.801 5.065 1.507
O 2.770 5.592 4.417
O 2.788 6.753 7.419
O 3.341 0.960 2.184
O 3.358 2.121 5.187
O 3.328 2.648 8.097
O 4.615 7.650 1.012
O 4.591 7.751 3.550
O 4.653 3.209 0.691
O 4.653 3.499 3.512
O 4.619 0.512 8.551
O 4.625 5.116 8.680
O 4.659 4.192 5.937
O 5.856 2.036 5.233
O 5.906 0.942 2.203
O 5.868 2.657 8.131
```

Principal peaks in the range 2θ from 10° to 90°, in order of falling intensity:
| hkl | 2theta | I/Imax |
| --- | --- | --- |
| 0 1 0 | 10.40 | 100 |
| 0 1 3 | 30.67 | 53 |
| 0 3 -1 | 32.14 | 50 |
| 0 0 3 | 27.87 | 46 |
| 0 3 0 | 31.57 | 43 |
| 0 1 -3 | 28.95 | 39 |
| 0 1 -1 | 13.31 | 33 |
| 0 2 2 | 29.22 | 33 |